Diffraction record for InFe2B2O6. The powder diffraction line list is computed, not measured: it uses a cell relaxed with GGA+U and copper Kα.
Neutral-atom scattering factors, no anomalous dispersion.

Atomic structure:
a b c (Å): 5.1813 5.1813 6.2530
angles (deg): 90.00 90.00 120.00
Space group P-3 (No. 147)
One atom of each set of equivalent atoms:
In1 0.0000 0.0000 0.0000 x1
Fe1 0.3333 0.6667 0.2917 x2
B1 0.3333 0.6667 0.7609 x2
O1 0.0676 0.6718 0.7611 x6

Principal peaks in the range 2θ from 5° to 70°, in order of rising 2θ:
- 2θ 14.16, rel. 25.6
- 2θ 24.42, rel. 100.0
- 2θ 34.62, rel. 43.6
- 2θ 34.98, rel. 73.1
- 2θ 42.82, rel. 32.3
- 2θ 56.20, rel. 26.4